# 1
The following is a simulated powder XRD pattern of LiHoCd5. It was derived from a DFT-relaxed cell (PBE, Alexandria), using λ = 1.5418 Å (Cu Kα).
No peak broadening, texture or thermal motion is included.

Structural model:
```
data_LiHoCd5
_space_group_name_H-M_alt 'C m m m'
_space_group_IT_number 65
_space_group_name_Hall '-C 2 2'
_cell_length_a 6.041
_cell_length_b 8.777
_cell_length_c 6.525
_cell_angle_alpha 90.00
_cell_angle_beta 90.00
_cell_angle_gamma 90.00
loop_
_atom_site_label
_atom_site_fract_x
_atom_site_fract_y
_atom_site_fract_z
Li1 0.000 0.000 0.000
Ho1 0.000 0.500 0.500
Cd1 0.000 0.500 0.000
Cd2 0.250 0.250 0.247
```

Largest 6 diffraction maxima, in order of falling intensity, 2θ from 10° to 90°:
2θ/deg  I/Imax  (hkl)
34.25  100  0 2 2
36.10  87  2 2 0
17.82  68  1 1 0
40.71  62  2 0 2
59.26  39  2 4 2
72.19  32  4 2 2

=====

# 2
The following is a simulated powder XRD pattern of NaTc3P3. It was derived from a DFT-relaxed cell (PBE, Alexandria), using λ = 1.5418 Å (Cu Kα).
No peak broadening, texture or thermal motion is included.

Structural model:
```
data_NaTc3P3
_space_group_name_H-M_alt 'R -3'
_space_group_IT_number 148
_space_group_name_Hall '-R 3'
_cell_length_a 6.5858
_cell_length_b 6.5858
_cell_length_c 22.1715
_cell_angle_alpha 90.00
_cell_angle_beta 90.00
_cell_angle_gamma 120.00
loop_
_atom_site_label
_atom_site_fract_x
_atom_site_fract_y
_atom_site_fract_z
Na1 0.0000 0.0000 0.1609
Tc1 0.0126 0.3753 0.2916
P1 0.0095 0.2931 0.7332
```

Largest 6 diffraction maxima, in order of falling intensity, 2θ from 10° to 90°:
2θ/deg  I/Imax  (hkl)
11.98  100  0 0 3
36.53  50  0 0 9
29.70  43  2 -1 3
46.01  25  1 1 9
27.08  24  1 1 0
47.85  22  3 0 0

=====

# 3
The following is a simulated powder XRD pattern of Ho3TmS6. It was derived from a DFT-relaxed cell (PBE, Alexandria), using λ = 1.5418 Å (Cu Kα).
No peak broadening, texture or thermal motion is included.

Structural model:
```
data_Ho3TmS6
_space_group_name_H-M_alt 'R -3'
_space_group_IT_number 148
_space_group_name_Hall '-R 3'
_cell_length_a 11.3883
_cell_length_b 11.3883
_cell_length_c 13.5439
_cell_angle_alpha 90.00
_cell_angle_beta 90.00
_cell_angle_gamma 120.00
loop_
_atom_site_label
_atom_site_fract_x
_atom_site_fract_y
_atom_site_fract_z
Ho1 0.0500 0.7796 0.2026
Tm1 0.0000 0.0000 0.0000
Tm2 0.0000 0.0000 0.5000
S1 0.0205 0.8082 0.3979
S2 0.0312 0.8382 0.8752
```

Largest 6 diffraction maxima, in order of falling intensity, 2θ from 10° to 90°:
2θ/deg  I/Imax  (hkl)
24.77  100  3 -1 1
27.31  76  1 2 2
35.83  60  3 -1 4
41.98  55  4 1 0
19.66  50  0 0 3
35.39  40  4 -1 2

=====

# 4
The following is a simulated powder XRD pattern of K2GaSbO6. It was derived from a DFT-relaxed cell (PBE, Alexandria), using λ = 1.5418 Å (Cu Kα).
No peak broadening, texture or thermal motion is included.

Structural model:
```
data_K2GaSbO6
_space_group_name_H-M_alt 'P -3 m 1'
_space_group_IT_number 164
_space_group_name_Hall '-P 3 2"'
_cell_length_a 6.0544
_cell_length_b 6.0544
_cell_length_c 5.4106
_cell_angle_alpha 90.00
_cell_angle_beta 90.00
_cell_angle_gamma 120.00
loop_
_atom_site_label
_atom_site_fract_x
_atom_site_fract_y
_atom_site_fract_z
K1 0.3333 0.6667 0.3248
Ga1 0.0000 0.0000 0.5000
Sb1 0.0000 0.0000 0.0000
O1 0.1429 0.2857 0.7500
```

Largest 6 diffraction maxima, in order of falling intensity, 2θ from 10° to 90°:
2θ/deg  I/Imax  (hkl)
16.91  100  1 0 0
29.51  45  1 1 0
37.41  28  1 0 2
48.35  25  0 2 2
57.66  23  2 1 2
38.14  17  2 0 1

=====

# 5
The following is a simulated powder XRD pattern of Pm2Ho3Tl4. It was derived from a DFT-relaxed cell (PBE, Alexandria), using λ = 1.5418 Å (Cu Kα).
No peak broadening, texture or thermal motion is included.

Structural model:
```
data_Pm2Ho3Tl4
_space_group_name_H-M_alt 'C m c e'
_space_group_IT_number 64
_space_group_name_Hall '-C 2ac 2'
_cell_length_a 7.165
_cell_length_b 16.522
_cell_length_c 9.137
_cell_angle_alpha 90.00
_cell_angle_beta 90.00
_cell_angle_gamma 90.00
loop_
_atom_site_label
_atom_site_fract_x
_atom_site_fract_y
_atom_site_fract_z
Pm1 0.000 0.110 0.077
Ho1 0.000 0.000 0.500
Ho2 0.250 0.214 0.750
Tl1 0.000 0.186 0.458
Tl2 0.250 0.030 0.750
```

Largest 6 diffraction maxima, in order of falling intensity, 2θ from 10° to 90°:
2θ/deg  I/Imax  (hkl)
31.74  100  2 0 2
31.35  93  0 2 3
28.87  32  2 2 1
34.00  22  0 6 1
48.05  19  3 5 1
42.58  18  2 6 1

=====

# 6
The following is a simulated powder XRD pattern of Er2Al9Pd3. It was derived from a DFT-relaxed cell (PBE, Alexandria), using λ = 1.5418 Å (Cu Kα).
No peak broadening, texture or thermal motion is included.

Structural model:
```
data_Er2Al9Pd3
_space_group_name_H-M_alt 'C m c m'
_space_group_IT_number 63
_space_group_name_Hall '-C 2c 2'
_cell_length_a 13.207
_cell_length_b 7.696
_cell_length_c 9.424
_cell_angle_alpha 90.00
_cell_angle_beta 90.00
_cell_angle_gamma 90.00
loop_
_atom_site_label
_atom_site_fract_x
_atom_site_fract_y
_atom_site_fract_z
Er1 0.161 0.168 0.250
Al1 0.000 0.129 0.750
Al2 0.000 0.333 0.058
Al3 0.105 0.443 0.750
Al4 0.168 0.168 0.577
Pd1 0.000 0.000 0.000
Pd2 0.172 0.500 0.000
```

Largest 6 diffraction maxima, in order of falling intensity, 2θ from 10° to 90°:
2θ/deg  I/Imax  (hkl)
40.69  100  3 3 0
30.11  93  3 1 2
37.06  81  3 1 3
25.15  52  3 1 1
29.98  49  0 2 2
41.00  40  6 0 0

=====

# 7
The following is a simulated powder XRD pattern of Nd2Sm3Bi3. It was derived from a DFT-relaxed cell (PBE, Alexandria), using λ = 1.5418 Å (Cu Kα).
No peak broadening, texture or thermal motion is included.

Structural model:
```
data_Nd2Sm3Bi3
_space_group_name_H-M_alt 'P 63/m c m'
_space_group_IT_number 193
_space_group_name_Hall '-P 6c 2'
_cell_length_a 9.4560
_cell_length_b 9.4560
_cell_length_c 6.5421
_cell_angle_alpha 90.00
_cell_angle_beta 90.00
_cell_angle_gamma 120.00
loop_
_atom_site_label
_atom_site_fract_x
_atom_site_fract_y
_atom_site_fract_z
Nd1 0.3333 0.6667 0.0000
Sm1 0.0000 0.2461 0.2500
Bi1 0.0000 0.3857 0.7500
```

Largest 6 diffraction maxima, in order of falling intensity, 2θ from 10° to 90°:
2θ/deg  I/Imax  (hkl)
31.99  100  2 1 1
33.31  77  1 1 2
32.81  56  3 0 0
51.25  27  2 1 3
27.26  25  0 0 2
28.84  22  2 1 0

=====

# 8
The following is a simulated powder XRD pattern of NdTc2B4. It was derived from a DFT-relaxed cell (PBE, Alexandria), using λ = 1.5418 Å (Cu Kα).
No peak broadening, texture or thermal motion is included.

Structural model:
```
data_NdTc2B4
_space_group_name_H-M_alt 'C 1 2/c 1'
_space_group_IT_number 15
_cell_length_a 11.680
_cell_length_b 5.623
_cell_length_c 5.853
_cell_angle_alpha 90.00
_cell_angle_beta 111.48
_cell_angle_gamma 90.00
loop_
_space_group_symop_operation_xyz
'x,y,z'
'-x,-y,-z'
'-x,y,-z+1/2'
'x,-y,z+1/2'
'x+1/2,y+1/2,z'
'-x+1/2,-y+1/2,-z'
'-x+1/2,y+1/2,-z+1/2'
'x+1/2,-y+1/2,z+1/2'
loop_
_atom_site_label
_atom_site_fract_x
_atom_site_fract_y
_atom_site_fract_z
Nd1 0.000 0.240 0.250
Tc1 0.241 0.432 0.164
B1 0.081 0.301 0.801
B2 0.143 0.104 0.026
```

Largest 6 diffraction maxima, in order of falling intensity, 2θ from 10° to 90°:
2θ/deg  I/Imax  (hkl)
32.94  100  4 0 0
35.96  90  2 2 0
26.16  83  1 1 1
28.85  48  3 1 -1
37.22  39  4 0 -2
44.94  36  2 2 -2

=====

# 9
The following is a simulated powder XRD pattern of Li6Br2NO. It was derived from a DFT-relaxed cell (PBE, Alexandria), using λ = 1.5418 Å (Cu Kα).
No peak broadening, texture or thermal motion is included.

Structural model:
```
data_Li6Br2NO
_space_group_name_H-M_alt 'I m m m'
_space_group_IT_number 71
_space_group_name_Hall '-I 2 2'
_cell_length_a 5.599
_cell_length_b 5.938
_cell_length_c 8.116
_cell_angle_alpha 90.00
_cell_angle_beta 90.00
_cell_angle_gamma 90.00
loop_
_atom_site_label
_atom_site_fract_x
_atom_site_fract_y
_atom_site_fract_z
Li1 0.000 0.000 0.245
Li2 0.250 0.236 0.000
Br1 0.000 0.500 0.240
N1 0.000 0.000 0.500
O1 0.000 0.000 0.000
```

Largest 6 diffraction maxima, in order of falling intensity, 2θ from 10° to 90°:
2θ/deg  I/Imax  (hkl)
31.11  100  1 1 2
21.85  79  1 1 0
30.10  28  0 2 0
44.48  27  2 2 0
31.97  24  2 0 0
37.53  23  0 2 2

=====

# 10
The following is a simulated powder XRD pattern of InGaF6. It was derived from a DFT-relaxed cell (PBE, Alexandria), using λ = 1.5418 Å (Cu Kα).
No peak broadening, texture or thermal motion is included.

Structural model:
```
data_InGaF6
_space_group_name_H-M_alt 'P -3 1 c'
_space_group_IT_number 163
_space_group_name_Hall '-P 3 2c'
_cell_length_a 5.1157
_cell_length_b 5.1157
_cell_length_c 9.4587
_cell_angle_alpha 90.00
_cell_angle_beta 90.00
_cell_angle_gamma 120.00
loop_
_atom_site_label
_atom_site_fract_x
_atom_site_fract_y
_atom_site_fract_z
In1 0.3333 0.6667 0.2500
Ga1 0.0000 0.0000 0.0000
F1 0.0210 0.3164 0.1177
```

Largest 6 diffraction maxima, in order of falling intensity, 2θ from 10° to 90°:
2θ/deg  I/Imax  (hkl)
22.16  100  1 0 1
27.59  91  1 0 2
52.72  48  2 -1 4
62.90  28  3 0 0
34.93  25  1 0 3
35.08  24  1 1 0

=====

# 11
The following is a simulated powder XRD pattern of MnRhSe. It was derived from a DFT-relaxed cell (PBE, Alexandria), using λ = 1.5418 Å (Cu Kα).
No peak broadening, texture or thermal motion is included.

Structural model:
```
data_MnRhSe
_space_group_name_H-M_alt 'F -4 3 m'
_space_group_IT_number 216
_space_group_name_Hall 'F -4 2 3'
_cell_length_a 5.949
_cell_length_b 5.949
_cell_length_c 5.949
_cell_angle_alpha 90.00
_cell_angle_beta 90.00
_cell_angle_gamma 90.00
loop_
_atom_site_label
_atom_site_fract_x
_atom_site_fract_y
_atom_site_fract_z
Mn1 0.000 0.000 0.000
Rh1 0.250 0.250 0.250
Se1 0.000 0.000 0.500
```

Largest 6 diffraction maxima, in order of falling intensity, 2θ from 10° to 90°:
2θ/deg  I/Imax  (hkl)
43.00  100  2 2 0
25.94  54  1 1 1
78.81  32  4 2 2
50.91  25  3 1 1
62.44  16  4 0 0
68.78  10  3 3 1

=====

# 12
The following is a simulated powder XRD pattern of Nd5Sm6. It was derived from a DFT-relaxed cell (PBE, Alexandria), using λ = 1.5418 Å (Cu Kα).
No peak broadening, texture or thermal motion is included.

Structural model:
```
data_Nd5Sm6
_space_group_name_H-M_alt 'I m m m'
_space_group_IT_number 71
_space_group_name_Hall '-I 2 2'
_cell_length_a 5.704
_cell_length_b 8.325
_cell_length_c 16.186
_cell_angle_alpha 90.00
_cell_angle_beta 90.00
_cell_angle_gamma 90.00
loop_
_atom_site_label
_atom_site_fract_x
_atom_site_fract_y
_atom_site_fract_z
Nd1 0.000 0.000 0.000
Nd2 0.000 0.000 0.300
Nd3 0.000 0.500 0.339
Sm1 0.000 0.205 0.500
Sm2 0.000 0.295 0.136
```

Largest 6 diffraction maxima, in order of falling intensity, 2θ from 10° to 90°:
2θ/deg  I/Imax  (hkl)
31.35  100  2 0 0
29.11  21  1 1 4
55.83  14  3 2 3
31.78  12  1 0 5
33.21  10  0 0 6
32.74  10  0 3 1